Structure and simulated powder XRD pattern of TaMn2Be (the GGA-PBE geometry in Alexandria; Cu Kα (weighted mean of Kα1 and Kα2)).
No peak broadening, texture or thermal motion is included.

Structure:
```
data_TaMn2Be
_chemical_formula_sum 'Ta1 Mn2 Be1'
_cell_length_a 3.000
_cell_length_b 3.000
_cell_length_c 5.441
_cell_angle_alpha 90.00
_cell_angle_beta 90.00
_cell_angle_gamma 90.00
_symmetry_space_group_name_H-M 'P 4/m m m'
_symmetry_Int_Tables_number 123
_symmetry_space_group_name_Hall '-P 4 2'
loop_
_atom_site_label
_atom_site_type_symbol
_atom_site_fract_x
_atom_site_fract_y
_atom_site_fract_z
_atom_site_occupancy
Ta1 Ta 0.000 0.000 0.000 1
Mn1 Mn 0.500 0.500 0.286 1
Be1 Be 0.000 0.000 0.500 1
```

Peak list (10 most intense, 2θ from 5° to 70°, low angle first)
two_theta, I (rel.), h k l
16.3, 80, 0 0 1
29.8, 9, 1 0 0
34.1, 100, 1 0 1
42.6, 60, 1 1 0
45.0, 96, 1 0 2
45.9, 25, 1 1 1
50.3, 13, 0 0 3
61.8, 19, 2 0 0
64.4, 9, 2 0 1
68.0, 20, 1 1 3